Starting from the PBE geometry in the Materials Project, the powder diffraction line list of RbUC3O8 was calculated for Cu Kα.

Peak list (8 most intense, 2θ from 5° to 70°, in order of rising 2θ)
2θ 15.5, d 5.715, rel. 81, hkl 1 1 0
2θ 18.4, d 4.834, rel. 100, hkl 1 1 -2
2θ 18.8, d 4.724, rel. 73, hkl 0 1 2
2θ 21.3, d 4.181, rel. 60, hkl 0 2 1
2θ 22.7, d 3.913, rel. 78, hkl 2 0 -2
2θ 23.1, d 3.850, rel. 58, hkl 1 2 0
2θ 23.8, d 3.744, rel. 49, hkl 1 0 2
2θ 26.1, d 3.414, rel. 73, hkl 2 1 0

Cell and atoms:
```
52
Lattice="8.116 0.000 0.000 0.000 9.028 0.000 -5.090 0.000 11.086" Properties=species:S:1:pos:R:3 pbc="T T T"
Rb -0.427 0.771 1.976
Rb -2.972 3.743 7.519
Rb 5.997 5.285 3.567
Rb 3.452 8.257 9.110
U 2.486 6.170 1.164
U -0.059 7.372 6.707
U 3.085 1.656 4.379
U 0.540 2.858 9.922
C -2.777 0.135 6.264
C -0.232 4.379 0.721
C -2.455 1.793 10.714
C 0.090 2.721 5.171
C 3.422 1.743 0.970
C 0.877 2.771 6.513
C 2.149 6.257 4.573
C -0.396 7.285 10.116
C 2.936 6.307 5.915
C 5.481 7.235 0.372
C 3.257 4.649 10.365
C 5.802 8.893 4.822
O -3.875 5.436 10.219
O -1.330 8.106 4.676
O 0.399 4.969 1.647
O -2.146 8.573 7.190
O -3.676 1.608 10.676
O -1.131 2.906 5.133
O -0.917 5.784 6.815
O 1.628 7.758 1.272
O -1.680 2.046 9.703
O 0.865 2.468 4.160
O 0.896 6.434 4.665
O -1.649 7.107 10.208
O 2.785 1.519 2.040
O 0.240 2.995 7.583
O 3.220 4.526 1.105
O 0.675 9.016 6.648
O 2.350 0.012 4.438
O -0.195 4.502 9.981
O 2.786 6.033 3.503
O 0.241 7.509 9.046
O 4.674 1.920 0.878
O 2.129 2.593 6.421
O 2.161 6.559 6.925
O 4.706 6.982 1.382
O 1.398 1.270 9.814
O 3.943 3.244 4.271
O 4.157 6.122 5.953
O 6.702 7.420 0.410
O 5.172 0.455 3.896
O 2.627 4.059 9.439
O 4.355 0.922 6.410
O 6.900 3.592 0.867
```